Entry 1:
# SrMg14NbO16
Simulated powder X-ray diffraction pattern, Cu Kα. Input: DFT lattice parameters and positions (PBE).
Lines closer than 0.1° are merged.

Crystal structure
```
data_SrMg14NbO16
_chemical_formula_sum 'Sr1 Mg14 Nb1 O16'
_cell_length_a 8.720
_cell_length_b 8.720
_cell_length_c 4.431
_cell_angle_alpha 90.00
_cell_angle_beta 90.00
_cell_angle_gamma 90.00
_space_group_name_H-M_alt 'P 4/m m m'
_space_group_IT_number 123
_space_group_name_Hall '-P 4 2'
loop_
_atom_site_label
_atom_site_type_symbol
_atom_site_fract_x
_atom_site_fract_y
_atom_site_fract_z
_atom_site_occupancy
Sr1 Sr 0.000 0.000 0.000 1
Mg1 Mg 0.000 0.259 0.500 1
Mg2 Mg 0.000 0.500 0.000 1
Mg3 Mg 0.246 0.500 0.500 1
Mg4 Mg 0.253 0.253 0.000 1
Nb1 Nb 0.500 0.500 0.000 1
O1 O 0.000 0.000 0.500 1
O2 O 0.000 0.271 0.000 1
O3 O 0.000 0.500 0.500 1
O4 O 0.242 0.500 0.000 1
O5 O 0.250 0.250 0.500 1
O6 O 0.500 0.500 0.500 1
```

Top 12 peaks for 10 to 90 degrees two-theta, by angle:
(1 1 0), 14.37°, rel. 27.0; (2 0 0), 20.37°, rel. 18.3; (1 1 1), 24.74°, rel. 20.8; (2 0 1), 28.73°, rel. 15.5; (3 1 0), 32.47°, rel. 14.7; (2 2 1), 35.47°, rel. 39.0; (3 1 1), 38.45°, rel. 14.5; (0 0 2), 40.73°, rel. 53.6; (4 0 0), 41.42°, rel. 100.0; (4 0 2), 59.49°, rel. 60.3; (4 4 0), 60.02°, rel. 28.8; (4 4 2), 75.07°, rel. 27.1

Entry 2:
# Ca3Cu2Si4O14
Simulated powder X-ray diffraction pattern, Cu Kα. Input: DFT lattice parameters and positions (PBE).
Lines closer than 0.1° are merged.

Crystal structure
```
data_Ca3Cu2Si4O14
_chemical_formula_sum 'Ca12 Cu8 Si16 O56'
_cell_length_a 16.950
_cell_length_b 7.677
_cell_length_c 10.133
_cell_angle_alpha 90.00
_cell_angle_beta 121.91
_cell_angle_gamma 90.00
_space_group_name_H-M_alt 'C 1 2/c 1'
_space_group_IT_number 15
loop_
_space_group_symop_operation_xyz
'x,y,z'
'-x,-y,-z'
'-x,y,-z+1/2'
'x,-y,z+1/2'
'x+1/2,y+1/2,z'
'-x+1/2,-y+1/2,-z'
'-x+1/2,y+1/2,-z+1/2'
'x+1/2,-y+1/2,z+1/2'
loop_
_atom_site_label
_atom_site_type_symbol
_atom_site_fract_x
_atom_site_fract_y
_atom_site_fract_z
_atom_site_occupancy
Ca1 Ca 0.000 0.158 0.250 1
Ca2 Ca 0.195 0.468 0.460 1
Cu1 Cu 0.000 0.282 0.750 1
Cu2 Cu 0.000 0.500 0.000 1
Si1 Si 0.126 0.163 0.647 1
Si2 Si 0.178 0.213 0.162 1
O1 O 0.051 0.099 0.689 1
O2 O 0.061 0.455 0.711 1
O3 O 0.089 0.289 0.496 1
O4 O 0.107 0.349 0.028 1
O5 O 0.165 0.010 0.095 1
O6 O 0.181 0.211 0.324 1
O7 O 0.219 0.232 0.815 1
```

Top 12 peaks for 10 to 90 degrees two-theta, by angle:
(2 0 0), 12.30°, rel. 44.0; (1 1 0), 13.07°, rel. 52.7; (1 1 2), 27.19°, rel. 100.0; (3 1 1), 28.16°, rel. 34.1; (5 1 -2), 29.12°, rel. 69.1; (2 0 2), 29.29°, rel. 30.4; (0 2 2), 31.23°, rel. 83.6; (4 2 -1), 31.57°, rel. 30.4; (4 2 -2), 32.39°, rel. 76.5; (4 0 -4), 35.60°, rel. 55.2; (6 2 -2), 39.63°, rel. 73.8; (1 1 4), 47.41°, rel. 30.2

Entry 3:
# LiCu6OF11
Simulated powder X-ray diffraction pattern, Cu Kα. Input: DFT lattice parameters and positions (PBE).
Lines closer than 0.1° are merged.

Crystal structure
```
data_LiCu6OF11
_chemical_formula_sum 'Li1 Cu6 O1 F11'
_cell_length_a 4.835
_cell_length_b 5.399
_cell_length_c 8.406
_cell_angle_alpha 85.66
_cell_angle_beta 87.16
_cell_angle_gamma 88.67
_space_group_name_H-M_alt 'P 1'
_space_group_IT_number 1
loop_
_space_group_symop_operation_xyz
'x,y,z'
loop_
_atom_site_label
_atom_site_type_symbol
_atom_site_fract_x
_atom_site_fract_y
_atom_site_fract_z
_atom_site_occupancy
Li1 Li 0.000 0.000 0.000 1
Cu1 Cu 0.036 0.011 0.523 1
Cu2 Cu 0.041 0.600 0.840 1
Cu3 Cu 0.071 0.370 0.178 1
Cu4 Cu 0.498 0.152 0.860 1
Cu5 Cu 0.541 0.850 0.206 1
Cu6 Cu 0.544 0.503 0.524 1
O1 O 0.193 0.325 0.955 1
F1 F 0.211 0.039 0.254 1
F2 F 0.225 0.710 0.606 1
F3 F 0.321 0.836 0.926 1
F4 F 0.332 0.206 0.596 1
F5 F 0.371 0.553 0.289 1
F6 F 0.704 0.147 0.112 1
F7 F 0.711 0.438 0.769 1
F8 F 0.740 0.810 0.459 1
F9 F 0.831 0.941 0.800 1
F10 F 0.860 0.310 0.427 1
F11 F 0.864 0.677 0.119 1
```

Top 12 peaks for 10 to 90 degrees two-theta, by angle:
(1 1 1), 25.90°, rel. 100.0; (-1 1 1), 27.08°, rel. 94.2; (0 0 3), 32.07°, rel. 63.2; (1 -1 2), 33.27°, rel. 36.6; (1 1 -2), 34.06°, rel. 28.1; (0 2 -1), 35.80°, rel. 22.2; (1 1 4), 48.28°, rel. 23.6; (-1 1 4), 50.26°, rel. 23.7; (2 -2 1), 52.73°, rel. 16.2; (2 2 2), 53.25°, rel. 16.6; (-2 2 2), 55.85°, rel. 17.2; (0 2 -4), 57.78°, rel. 18.1

Entry 4:
# CsDyI3
Simulated powder X-ray diffraction pattern, Cu Kα. Input: DFT lattice parameters and positions (PBE).
Lines closer than 0.1° are merged.

Crystal structure
```
data_CsDyI3
_chemical_formula_sum 'Cs4 Dy4 I12'
_cell_length_a 8.684
_cell_length_b 12.187
_cell_length_c 8.429
_cell_angle_alpha 90.00
_cell_angle_beta 90.00
_cell_angle_gamma 90.00
_space_group_name_H-M_alt 'P n m a'
_space_group_IT_number 62
loop_
_space_group_symop_operation_xyz
'x,y,z'
'-x,-y,-z'
'-x+1/2,-y,z+1/2'
'x+1/2,y,-z+1/2'
'x+1/2,-y+1/2,-z+1/2'
'-x+1/2,y+1/2,z+1/2'
'-x,y+1/2,-z'
'x,-y+1/2,z'
loop_
_atom_site_label
_atom_site_type_symbol
_atom_site_fract_x
_atom_site_fract_y
_atom_site_fract_z
_atom_site_occupancy
Cs1 Cs 0.056 0.250 0.018 1
Dy1 Dy 0.000 0.000 0.500 1
I1 I 0.003 0.250 0.539 1
I2 I 0.217 0.520 0.785 1
```

Top 12 peaks for 10 to 90 degrees two-theta, by angle:
(0 2 0), 14.54°, rel. 17.8; (1 0 1), 14.65°, rel. 35.7; (1 2 1), 20.69°, rel. 31.8; (2 2 0), 25.19°, rel. 37.9; (0 2 2), 25.70°, rel. 38.6; (0 4 0), 29.31°, rel. 62.2; (2 0 2), 29.54°, rel. 100.0; (3 0 1), 32.71°, rel. 15.3; (1 2 3), 36.71°, rel. 15.2; (2 4 2), 42.10°, rel. 69.2; (3 4 1), 44.48°, rel. 14.5; (0 4 4), 52.84°, rel. 17.3

Entry 5:
# TbDyAl4
Simulated powder X-ray diffraction pattern, Cu Kα. Input: DFT lattice parameters and positions (PBE).
Lines closer than 0.1° are merged.

Crystal structure
```
data_TbDyAl4
_chemical_formula_sum 'Tb4 Dy4 Al16'
_cell_length_a 7.873
_cell_length_b 7.873
_cell_length_c 7.873
_cell_angle_alpha 90.00
_cell_angle_beta 90.00
_cell_angle_gamma 90.00
_space_group_name_H-M_alt 'F -4 3 m'
_space_group_IT_number 216
_space_group_name_Hall 'F -4 2 3'
loop_
_atom_site_label
_atom_site_type_symbol
_atom_site_fract_x
_atom_site_fract_y
_atom_site_fract_z
_atom_site_occupancy
Tb1 Tb 0.000 0.000 0.000 1
Dy1 Dy 0.250 0.250 0.750 1
Al1 Al 0.125 0.125 0.375 1
```

Top 12 peaks for 10 to 90 degrees two-theta, by angle:
(1 1 1), 19.53°, rel. 63.4; (2 2 0), 32.16°, rel. 100.0; (3 1 1), 37.90°, rel. 98.8; (4 0 0), 46.12°, rel. 8.2; (3 3 1), 50.53°, rel. 16.5; (4 2 2), 57.33°, rel. 38.8; (5 1 1), 61.17°, rel. 32.5; (4 4 0), 67.27°, rel. 21.3; (5 3 1), 70.80°, rel. 12.1; (6 2 0), 76.53°, rel. 16.6; (5 3 3), 79.89°, rel. 11.3; (7 1 1), 88.73°, rel. 7.1

Entry 6:
# Ba2Ti4Tl2Zn3O12
Simulated powder X-ray diffraction pattern, Cu Kα. Input: DFT lattice parameters and positions (PBE).
Lines closer than 0.1° are merged.

Crystal structure
```
data_Ba2Ti4Tl2Zn3O12
_chemical_formula_sum 'Ba4 Ti8 Tl4 Zn6 O24'
_cell_length_a 3.878
_cell_length_b 3.878
_cell_length_c 46.087
_cell_angle_alpha 90.00
_cell_angle_beta 90.00
_cell_angle_gamma 90.00
_space_group_name_H-M_alt 'I 4/m m m'
_space_group_IT_number 139
_space_group_name_Hall '-I 4 2'
loop_
_atom_site_label
_atom_site_type_symbol
_atom_site_fract_x
_atom_site_fract_y
_atom_site_fract_z
_atom_site_occupancy
Ba1 Ba 0.000 0.000 0.173 1
Ti1 Ti 0.000 0.000 0.389 1
Ti2 Ti 0.000 0.000 0.471 1
Tl1 Tl 0.000 0.000 0.275 1
Zn1 Zn 0.000 0.000 0.000 1
Zn2 Zn 0.000 0.000 0.079 1
O1 O 0.000 0.000 0.226 1
O2 O 0.000 0.000 0.350 1
O3 O 0.000 0.500 0.032 1
O4 O 0.000 0.500 0.099 1
```

Top 12 peaks for 10 to 90 degrees two-theta, by angle:
(1 0 7), 26.68°, rel. 14.2; (1 0 9), 28.88°, rel. 80.4; (1 0 11), 31.43°, rel. 100.0; (1 1 0), 32.65°, rel. 72.1; (1 1 2), 32.89°, rel. 22.6; (0 0 20), 39.09°, rel. 12.6; (2 0 0), 46.85°, rel. 40.4; (1 1 18), 48.65°, rel. 16.1; (1 1 20), 51.82°, rel. 24.8; (2 1 9), 55.98°, rel. 25.9; (2 1 11), 57.51°, rel. 35.9; (2 0 20), 62.61°, rel. 12.7

Entry 7:
# RbB2P2HO9
Simulated powder X-ray diffraction pattern, Cu Kα. Input: DFT lattice parameters and positions (PBE).
Lines closer than 0.1° are merged.

Crystal structure
```
data_RbB2P2HO9
_chemical_formula_sum 'Rb4 B8 P8 H4 O36'
_cell_length_a 6.864
_cell_length_b 12.307
_cell_length_c 8.947
_cell_angle_alpha 90.00
_cell_angle_beta 97.61
_cell_angle_gamma 90.00
_space_group_name_H-M_alt 'P 1 21/c 1'
_space_group_IT_number 14
loop_
_space_group_symop_operation_xyz
'x,y,z'
'-x,-y,-z'
'-x,y+1/2,-z+1/2'
'x,-y+1/2,z+1/2'
loop_
_atom_site_label
_atom_site_type_symbol
_atom_site_fract_x
_atom_site_fract_y
_atom_site_fract_z
_atom_site_occupancy
Rb1 Rb 0.228 0.120 0.190 1
B1 B 0.116 0.636 0.969 1
B2 B 0.432 0.638 0.860 1
P1 P 0.210 0.038 0.677 1
P2 P 0.373 0.708 0.557 1
H1 H 0.278 0.520 0.411 1
O1 O 0.096 0.136 0.600 1
O2 O 0.124 0.572 0.117 1
O3 O 0.156 0.750 0.015 1
O4 O 0.189 0.041 0.848 1
O5 O 0.243 0.593 0.870 1
O6 O 0.395 0.595 0.497 1
O7 O 0.428 0.046 0.652 1
O8 O 0.438 0.715 0.730 1
O9 O 0.491 0.205 0.505 1
```

Top 12 peaks for 10 to 90 degrees two-theta, by angle:
(1 1 -2), 23.59°, rel. 74.0; (0 2 2), 24.75°, rel. 26.3; (1 0 2), 25.37°, rel. 100.0; (2 0 0), 26.20°, rel. 24.5; (1 1 2), 26.42°, rel. 22.7; (1 3 -1), 26.65°, rel. 37.2; (1 3 1), 27.95°, rel. 66.7; (0 3 2), 29.67°, rel. 42.3; (2 2 -1), 30.55°, rel. 52.0; (1 3 2), 33.62°, rel. 32.9; (1 2 -3), 34.66°, rel. 25.5; (2 4 -2), 42.94°, rel. 23.8

Entry 8:
# Cd4InTe4As
Simulated powder X-ray diffraction pattern, Cu Kα. Input: DFT lattice parameters and positions (PBE).
Lines closer than 0.1° are merged.

Crystal structure
```
data_Cd4InTe4As
_chemical_formula_sum 'Cd8 In2 Te8 As2'
_cell_length_a 4.282
_cell_length_b 4.282
_cell_length_c 30.353
_cell_angle_alpha 90.00
_cell_angle_beta 90.00
_cell_angle_gamma 90.00
_space_group_name_H-M_alt 'I 4/m m m'
_space_group_IT_number 139
_space_group_name_Hall '-I 4 2'
loop_
_atom_site_label
_atom_site_type_symbol
_atom_site_fract_x
_atom_site_fract_y
_atom_site_fract_z
_atom_site_occupancy
Cd1 Cd 0.000 0.000 0.093 1
Cd2 Cd 0.000 0.000 0.299 1
In1 In 0.000 0.000 0.500 1
Te1 Te 0.000 0.000 0.199 1
Te2 Te 0.000 0.000 0.399 1
As1 As 0.000 0.000 0.000 1
```

Top 12 peaks for 10 to 90 degrees two-theta, by angle:
(1 0 7), 29.31°, rel. 1.2; (1 1 0), 29.48°, rel. 100.0; (1 0 9), 33.83°, rel. 1.6; (2 0 0), 42.17°, rel. 73.5; (2 0 10), 52.29°, rel. 25.8; (0 0 20), 61.06°, rel. 3.5; (2 2 0), 61.22°, rel. 8.1; (1 1 20), 69.25°, rel. 9.5; (3 1 0), 69.39°, rel. 21.7; (2 0 20), 77.02°, rel. 6.9; (3 1 10), 77.13°, rel. 15.7; (2 1 19), 77.87°, rel. 1.0

Entry 9:
# CsPb2Br5
Simulated powder X-ray diffraction pattern, Cu Kα. Input: DFT lattice parameters and positions (PBE).
Lines closer than 0.1° are merged.

Crystal structure
```
data_CsPb2Br5
_chemical_formula_sum 'Cs4 Pb8 Br20'
_cell_length_a 8.634
_cell_length_b 8.634
_cell_length_c 15.970
_cell_angle_alpha 90.00
_cell_angle_beta 90.00
_cell_angle_gamma 90.00
_space_group_name_H-M_alt 'I 4/m c m'
_space_group_IT_number 140
_space_group_name_Hall '-I 4 2c'
loop_
_atom_site_label
_atom_site_type_symbol
_atom_site_fract_x
_atom_site_fract_y
_atom_site_fract_z
_atom_site_occupancy
Cs1 Cs 0.000 0.000 0.250 1
Pb1 Pb 0.171 0.329 0.000 1
Br1 Br 0.000 0.000 0.000 1
Br2 Br 0.154 0.346 0.376 1
```

Top 12 peaks for 10 to 90 degrees two-theta, by angle:
(0 0 2), 11.08°, rel. 61.0; (2 0 2), 23.43°, rel. 26.1; (1 1 4), 26.68°, rel. 13.7; (2 1 3), 28.56°, rel. 100.0; (2 2 0), 29.26°, rel. 14.5; (3 1 0), 32.80°, rel. 52.8; (2 1 5), 36.51°, rel. 53.7; (0 0 8), 45.44°, rel. 13.9; (4 1 3), 46.61°, rel. 23.9; (4 1 5), 52.24°, rel. 17.4; (3 1 8), 57.16°, rel. 22.3; (5 3 4), 67.48°, rel. 12.7